Calculated X-ray powder pattern of CoPb3O5 for Cu Kα, from a structure optimized by DFT (PBE+U).
No peak broadening, texture or thermal motion is included.

Cell and atoms:
```
data_CoPb3O5
_cell_length_a 5.2656
_cell_length_b 10.2994
_cell_length_c 5.4500
_cell_angle_alpha 90.00
_cell_angle_beta 93.26
_cell_angle_gamma 90.00
_space_group_name_H-M_alt 'P 1 21 1'
_space_group_IT_number 4
_space_group_name_Hall 'P 2yb'
loop_
_atom_site_label
_atom_site_type_symbol
_atom_site_fract_x
_atom_site_fract_y
_atom_site_fract_z
Co1 Co 0.0093 0.0000 0.4609
Pb1 Pb 0.0279 0.2530 0.9686
Pb2 Pb 0.4955 0.2325 0.4979
Pb3 Pb 0.4976 0.9974 0.9815
O1 O 0.0698 0.8305 0.4916
O2 O 0.1464 0.0618 0.1876
O3 O 0.1747 0.0919 0.7028
O4 O 0.3294 0.5283 0.5727
O5 O 0.3820 0.7060 0.0847
```

Peak list (8 most intense, 2θ from 15° to 90°, sorted by position)
index, d_spacing, intensity
1 2 -1, 3.105, 100
1 2 1, 2.993, 91
0 0 2, 2.721, 38
2 0 0, 2.629, 36
0 4 0, 2.575, 33
0 4 2, 1.870, 25
2 0 2, 1.839, 37
3 2 1, 1.564, 15